Diffraction record for Tb3Zn7Au4. The powder XRD pattern is computed, not measured: it uses the PBE geometry in Alexandria and CuKα.
Kinematic intensities with the Lorentz-polarization factor, no thermal factor.

Crystal structure
a b c (Å): 8.258 8.258 9.146
angles (deg): 122.64 122.64 31.14
Atoms (fractional coordinates):
Tb1 0.000 0.000 0.000
Tb2 0.295 0.295 0.292
Tb3 0.705 0.705 0.708
Zn1 0.000 0.000 0.500
Zn2 0.138 0.138 0.427
Zn3 0.333 0.333 0.983
Zn4 0.499 0.499 0.677
Zn5 0.501 0.501 0.323
Zn6 0.667 0.667 0.017
Zn7 0.862 0.862 0.573
Au1 0.126 0.126 0.844
Au2 0.344 0.344 0.711
Au3 0.656 0.656 0.289
Au4 0.874 0.874 0.156

Principal peaks in the range 2θ from 10° to 90°, by angle:
Position (°2θ)	I/Imax
26.0	42
33.2	52
34.6	70
35.0	68
35.5	54
35.7	100
36.2	35
39.8	33
40.7	100
45.0	55